Record 1
Theoretical powder XRD pattern
Compound: FeNi5Pt6
Radiation: Cu Kα (weighted mean of Kα1 and Kα2)
Structure: the PBE geometry in OQMD

a b c (Å): 3.843 11.514 7.316
angles (deg): 90.00 90.00 90.00
Space group Cmmm (No. 65)
Unique sites:
Fe (0.000, 0.000, 0.000) x2
Ni (0.000, 0.000, 0.500) x2
Ni (0.000, 0.335, 0.000) x4
Ni (0.000, 0.336, 0.500) x4
Pt (0.000, 0.167, 0.250) x8
Pt (0.000, 0.500, 0.249) x4

Main lines, in order of falling intensity (2θ from 10° to 90°):
two_theta	I (rel.)
41.4	100
47.3	34
24.3	24
33.0	23
71.2	20
49.9	15
83.9	13
84.0	13
53.9	12
87.7	12

Record 2
Theoretical powder XRD pattern
Compound: Re7Ni8
Radiation: Cu Kα (weighted mean of Kα1 and Kα2)
Structure: the PBE geometry in OQMD

a b c (Å): 8.923 8.923 4.850
angles (deg): 90.00 90.00 90.00
Space group P4_2/mnm (No. 136)
Unique sites:
Re (0.000, 0.000, 0.000) x2
Re (0.103, 0.103, 0.500) x4
Re (0.186, 0.814, 0.251) x8
Ni (0.041, 0.369, 0.500) x8
Ni (0.068, 0.268, 0.000) x8

Main lines, in order of falling intensity (2θ from 10° to 90°):
two_theta	I (rel.)
43.7	100
41.7	94
14.0	68
45.9	68
42.4	62
73.1	49
43.0	45
47.1	28
49.6	19
28.3	17

Record 3
Theoretical powder XRD pattern
Compound: Nb3InCN
Radiation: Cu Kα (weighted mean of Kα1 and Kα2)
Structure: the PBE geometry in OQMD

a b c (Å): 3.1606 3.1606 19.7661
angles (deg): 90.00 90.00 120.00
Space group P-3m1 (No. 164)
Unique sites:
Nb (0.0000, 0.0000, 0.0000) x1
Nb (0.0000, 0.0000, 0.5000) x1
Nb (0.3333, 0.6667, 0.1257) x2
Nb (0.3333, 0.6667, 0.3719) x2
In (0.0000, 0.0000, 0.2487) x2
C (0.3333, 0.6667, 0.5674) x2
N (0.3333, 0.6667, 0.9358) x2

Main lines, in order of falling intensity (2θ from 10° to 90°):
two_theta	I (rel.)
37.6	100
36.4	27
58.4	25
70.8	23
33.0	18
66.2	18
40.1	17
71.5	14
35.5	11
32.7	8

Record 4
Theoretical powder XRD pattern
Compound: Na2Mg2InGePt2
Radiation: Cu Kα (weighted mean of Kα1 and Kα2)
Structure: the PBE geometry in OQMD

a b c (Å): 4.647 4.647 6.664
angles (deg): 90.00 90.00 90.00
Space group P-4m2 (No. 115)
Unique sites:
Na (0.000, 0.500, 0.239) x2
Mg (0.000, 0.000, 0.000) x1
Mg (0.500, 0.500, 0.500) x1
In (0.000, 0.000, 0.500) x1
Ge (0.500, 0.500, 0.000) x1
Pt (0.000, 0.500, 0.763) x2

Main lines, in order of falling intensity (2θ from 10° to 90°):
two_theta	I (rel.)
23.3	100
38.5	96
38.8	48
45.7	35
70.0	32
45.2	17
56.0	16
69.4	16
61.1	14
82.5	10